Diffraction record for BeTlAgSe2. The X-ray diffraction stick pattern is calculated, not measured: it uses DFT lattice parameters and positions (GGA-PBE) and copper Kα.
Neutral-atom scattering factors, no anomalous dispersion.

Cell and atoms:
abc: 7.3654 5.0350 7.4173
angles: 90.00 101.07 90.00
Space group P2/c (No. 13)
Unique sites:
Be: 0.0000 0.0000 0.0000 [2 per cell]
Tl: 0.5000 0.2140 0.2500 [2 per cell]
Ag: 0.0000 0.4359 0.2500 [2 per cell]
Se: 0.2202 0.2517 0.5586 [4 per cell]

Top 12 peaks for 2θ from 10° to 90°, sorted by position:
two_theta, I_rel
21.48, 88
24.46, 21
25.19, 28
25.94, 100
31.01, 81
31.35, 46
34.65, 40
37.84, 22
38.32, 39
41.28, 63
44.17, 36
52.57, 21



Diffraction record for Be2Si2Ag. The X-ray diffraction stick pattern is calculated, not measured: it uses DFT lattice parameters and positions (GGA-PBE) and copper Kα.
Neutral-atom scattering factors, no anomalous dispersion.

Cell and atoms:
abc: 3.7364 3.7364 10.1189
angles: 90.00 90.00 90.00
Space group I4/mmm (No. 139)
Unique sites:
Be: 0.0000 0.5000 0.2500 [4 per cell]
Si: 0.0000 0.0000 0.1163 [4 per cell]
Ag: 0.0000 0.0000 0.5000 [2 per cell]

Top 12 peaks for 2θ from 10° to 90°, sorted by position:
two_theta, I_rel
17.53, 76
25.41, 55
33.93, 68
35.87, 100
38.44, 66
48.74, 31
51.34, 42
52.19, 18
55.76, 12
61.98, 38
73.50, 28
84.14, 13



Diffraction record for SrBeAg2. The X-ray diffraction stick pattern is calculated, not measured: it uses DFT lattice parameters and positions (GGA-PBE) and copper Kα.
Neutral-atom scattering factors, no anomalous dispersion.

Cell and atoms:
abc: 3.7582 3.9619 6.2842
angles: 90.00 105.11 90.00
Space group P2/m (No. 10)
Unique sites:
Sr: 0.0000 0.0000 0.0000 [1 per cell]
Be: 0.5000 0.0000 0.5000 [1 per cell]
Ag: 0.3437 0.5000 0.6795 [2 per cell]

Top 12 peaks for 2θ from 10° to 90°, sorted by position:
two_theta, I_rel
22.44, 41
26.88, 98
31.87, 100
33.19, 83
33.49, 74
33.92, 74
37.34, 72
44.82, 34
45.81, 36
48.48, 28
56.88, 51
57.73, 33



Diffraction record for Ta2BeAg2. The X-ray diffraction stick pattern is calculated, not measured: it uses DFT lattice parameters and positions (GGA-PBE) and copper Kα.
Neutral-atom scattering factors, no anomalous dispersion.

Cell and atoms:
abc: 6.2092 6.2092 4.6268
angles: 90.00 90.00 90.00
Space group P4/mbm (No. 127)
Unique sites:
Ta: 0.1505 0.3495 0.0000 [4 per cell]
Be: 0.0000 0.0000 0.0000 [2 per cell]
Ag: 0.1573 0.6573 0.5000 [4 per cell]

Top 12 peaks for 2θ from 10° to 90°, sorted by position:
two_theta, I_rel
20.23, 20
28.76, 10
37.78, 100
38.93, 20
46.24, 15
61.99, 12
63.57, 8
65.14, 9
69.75, 16
73.46, 7
77.12, 9
87.11, 14



Diffraction record for Be2AgTe. The X-ray diffraction stick pattern is calculated, not measured: it uses DFT lattice parameters and positions (GGA-PBE) and copper Kα.
Neutral-atom scattering factors, no anomalous dispersion.

Cell and atoms:
abc: 3.6765 3.6570 5.9475
angles: 90.00 107.69 90.00
Space group Pm (No. 6)
Unique sites:
Be: 0.0000 0.0000 0.0000 [1 per cell]
Be: 0.4952 0.5000 0.9897 [1 per cell]
Ag: 0.6325 0.0000 0.2684 [1 per cell]
Te: 0.8544 0.5000 0.7038 [1 per cell]

Top 12 peaks for 2θ from 10° to 90°, sorted by position:
two_theta, I_rel
25.47, 87
29.06, 100
31.58, 31
35.52, 41
42.20, 32
42.36, 33
46.98, 12
49.59, 13
56.82, 18
58.43, 13
58.60, 13
60.21, 14



Diffraction record for BeTl2Ag. The X-ray diffraction stick pattern is calculated, not measured: it uses DFT lattice parameters and positions (GGA-PBE) and copper Kα.
Neutral-atom scattering factors, no anomalous dispersion.

Cell and atoms:
abc: 3.2131 4.3673 6.5317
angles: 70.47 89.01 87.84
Space group P1 (No. 1)
Unique sites:
Be: 0.0000 0.0000 0.0000 [1 per cell]
Tl: 0.0011 0.7666 0.4577 [1 per cell]
Tl: 0.5026 0.4680 0.0638 [1 per cell]
Ag: 0.5014 0.1477 0.7002 [1 per cell]

Top 12 peaks for 2θ from 10° to 90°, sorted by position:
two_theta, I_rel
21.60, 13
29.01, 15
29.89, 100
31.36, 23
31.49, 23
34.83, 39
36.09, 36
40.50, 11
40.69, 15
41.38, 25
44.13, 12
68.43, 11



Diffraction record for BeVAg. The X-ray diffraction stick pattern is calculated, not measured: it uses DFT lattice parameters and positions (GGA-PBE) and copper Kα.
Neutral-atom scattering factors, no anomalous dispersion.

Cell and atoms:
abc: 2.6979 2.6979 10.7668
angles: 90.00 90.00 90.00
Space group I4mm (No. 107)
Unique sites:
Be: 0.0000 0.0000 0.0000 [2 per cell]
V: 0.0000 0.0000 0.3592 [2 per cell]
Ag: 0.0000 0.0000 0.6548 [2 per cell]

Top 12 peaks for 2θ from 10° to 90°, sorted by position:
two_theta, I_rel
16.47, 50
33.29, 35
34.26, 76
41.89, 100
47.67, 37
50.77, 11
59.38, 24
69.71, 11
70.47, 18
72.26, 17
80.02, 12
84.77, 24



Diffraction record for AgBi6. The X-ray diffraction stick pattern is calculated, not measured: it uses DFT lattice parameters and positions (GGA-PBE) and copper Kα.
Neutral-atom scattering factors, no anomalous dispersion.

Cell and atoms:
abc: 8.7949 8.7949 8.7949
angles: 90.00 90.00 90.00
Space group Im-3m (No. 229)
Unique sites:
Ag: 0.0000 0.0000 0.0000 [2 per cell]
Bi: 0.0000 0.2500 0.5000 [12 per cell]

Top 12 peaks for 2θ from 10° to 90°, sorted by position:
two_theta, I_rel
14.24, 56
20.19, 41
24.80, 100
32.19, 17
35.35, 62
38.29, 66
41.05, 45
46.16, 19
57.38, 20
59.45, 31
65.41, 21
71.10, 26



Diffraction record for Ag2BiBr8. The X-ray diffraction stick pattern is calculated, not measured: it uses DFT lattice parameters and positions (GGA-PBE) and copper Kα.
Neutral-atom scattering factors, no anomalous dispersion.

Cell and atoms:
abc: 8.8294 8.8294 5.4582
angles: 90.00 90.00 120.00
Space group P-3m1 (No. 164)
Unique sites:
Ag: 0.3333 0.6667 0.1936 [2 per cell]
Bi: 0.0000 0.0000 0.0000 [1 per cell]
Br: 0.1605 0.3211 0.2735 [6 per cell]
Br: 0.3333 0.6667 0.7112 [2 per cell]

Top 12 peaks for 2θ from 10° to 90°, sorted by position:
two_theta, I_rel
19.99, 64
20.11, 100
25.96, 41
28.50, 87
34.91, 25
35.16, 65
40.62, 80
40.88, 100
45.72, 32
53.38, 24
58.99, 26
74.27, 26



Diffraction record for Ag2BiBr5. The X-ray diffraction stick pattern is calculated, not measured: it uses DFT lattice parameters and positions (GGA-PBE) and copper Kα.
Neutral-atom scattering factors, no anomalous dispersion.

Cell and atoms:
abc: 15.0309 7.9269 7.9265
angles: 90.00 121.77 90.00
Space group Cm (No. 8)
Unique sites:
Ag: 0.0000 0.0000 0.0000 [2 per cell]
Ag: 0.0000 0.5000 0.5002 [2 per cell]
Bi: 0.4580 0.0000 0.9586 [2 per cell]
Br: 0.2526 0.0000 0.7570 [2 per cell]
Br: 0.4933 0.2543 0.7390 [4 per cell]
Br: 0.4963 0.2542 0.2505 [4 per cell]

Top 12 peaks for 2θ from 10° to 90°, sorted by position:
two_theta, I_rel
13.14, 54
13.86, 100
21.08, 10
26.09, 26
27.93, 26
31.93, 44
34.96, 42
42.93, 32
45.79, 16
48.07, 17
54.49, 15
82.71, 9



Diffraction record for Ag3BiBr2Cl6. The X-ray diffraction stick pattern is calculated, not measured: it uses DFT lattice parameters and positions (GGA-PBE) and copper Kα.
Neutral-atom scattering factors, no anomalous dispersion.

Cell and atoms:
abc: 13.9452 7.7799 6.1216
angles: 90.00 94.07 90.00
Space group C2/m (No. 12)
Unique sites:
Ag: 0.0000 0.0000 0.0000 [2 per cell]
Ag: 0.2500 0.2500 0.5000 [4 per cell]
Bi: 0.0000 0.5000 0.5000 [2 per cell]
Br: 0.1650 0.0000 0.2502 [4 per cell]
Cl: 0.0836 0.2504 0.7614 [8 per cell]
Cl: 0.1658 0.5000 0.2759 [4 per cell]

Top 12 peaks for 2θ from 10° to 90°, sorted by position:
two_theta, I_rel
14.51, 59
19.21, 100
19.89, 35
25.95, 29
26.25, 37
28.62, 49
30.57, 85
37.81, 31
38.99, 54
40.41, 49
45.55, 54
46.70, 27



Diffraction record for CsAgBiBr6. The X-ray diffraction stick pattern is calculated, not measured: it uses DFT lattice parameters and positions (GGA-PBE) and copper Kα.
Neutral-atom scattering factors, no anomalous dispersion.

Cell and atoms:
abc: 7.3409 7.3514 8.0192
angles: 92.36 92.44 116.26
Space group P1 (No. 1)
Unique sites:
Cs: 0.0000 0.0000 0.0000 [1 per cell]
Ag: 0.6807 0.3197 0.5004 [1 per cell]
Bi: 0.3398 0.6611 0.5006 [1 per cell]
Br: 0.0120 0.3575 0.6778 [1 per cell]
Br: 0.0285 0.6178 0.2678 [1 per cell]
Br: 0.3847 0.9709 0.7349 [1 per cell]
Br: 0.4210 0.3633 0.2873 [1 per cell]
Br: 0.6367 0.5781 0.7142 [1 per cell]
Br: 0.6430 0.9889 0.3231 [1 per cell]

Top 12 peaks for 2θ from 10° to 90°, sorted by position:
two_theta, I_rel
11.07, 69
16.88, 50
18.04, 100
24.77, 32
27.15, 46
30.88, 39
32.53, 25
33.81, 70
36.50, 25
41.15, 39
43.53, 21
51.63, 23